Diffraction record for Y5Mg8Cu5. The powder diffraction line list is simulated, not measured: it uses the GGA-PBE geometry in the Materials Project and Cu Kα.
Lines closer than 0.1° are merged.

Principal peaks in the range 2θ from 15° to 90°, sorted by position:
2θ 32.55, d 2.751, I = 508, hkl 6 1 1; 2θ 33.09, d 2.707, I = 567, hkl 1 1 2; 2θ 34.85, d 2.575, I = 509, hkl 7 1 1; 2θ 35.24, d 2.546, I = 430, hkl 8 1 0; 2θ 35.69, d 2.516, I = 1000, hkl 4 1 2; 2θ 45.27, d 2.003, I = 444, hkl 0 2 0

Structural model:
abc: 26.3905 4.0059 7.4177
angles: 90.00 90.00 90.00
Fractional positions:
Y1 0.1056 0.0000 0.0759
Y2 0.1500 0.0000 0.5730
Y3 0.2500 0.0000 0.1986
Y4 0.3500 0.0000 0.5730
Y5 0.3944 0.0000 0.0759
Y6 0.6056 0.0000 0.9241
Y7 0.6500 0.0000 0.4270
Y8 0.7500 0.0000 0.8014
Y9 0.8500 0.0000 0.4270
Y10 0.8944 0.0000 0.9241
Mg1 0.0000 0.5000 0.0000
Mg2 0.0236 0.0000 0.7002
Mg3 0.0613 0.5000 0.4028
Mg4 0.1900 0.5000 0.9056
Mg5 0.2500 0.5000 0.5391
Mg6 0.3100 0.5000 0.9056
Mg7 0.4387 0.5000 0.4028
Mg8 0.4764 0.0000 0.7002
Mg9 0.5000 0.5000 0.0000
Mg10 0.5236 0.0000 0.2998
Mg11 0.5613 0.5000 0.5972
Mg12 0.6900 0.5000 0.0944
Mg13 0.7500 0.5000 0.4609
Mg14 0.8100 0.5000 0.0944
Mg15 0.9387 0.5000 0.5972
Mg16 0.9764 0.0000 0.2998
Cu1 0.0888 0.5000 0.7837
Cu2 0.1671 0.5000 0.2832
Cu3 0.2500 0.0000 0.7824
Cu4 0.3329 0.5000 0.2832
Cu5 0.4112 0.5000 0.7837
Cu6 0.5888 0.5000 0.2163
Cu7 0.6671 0.5000 0.7168
Cu8 0.7500 0.0000 0.2176
Cu9 0.8329 0.5000 0.7168
Cu10 0.9112 0.5000 0.2163



Diffraction record for Re2P. The powder diffraction line list is simulated, not measured: it uses the GGA-PBE geometry in the Materials Project and Cu Kα.
Lines closer than 0.1° are merged.

Principal peaks in the range 2θ from 15° to 90°, sorted by position:
2θ 18.16, d 4.884, I = 399, hkl 1 0 1; 2θ 35.41, d 2.535, I = 705, hkl 1 1 1; 2θ 39.12, d 2.303, I = 683, hkl 1 0 4; 2θ 40.51, d 2.227, I = 1000, hkl 0 1 3; 2θ 42.05, d 2.149, I = 701, hkl 2 0 3; 2θ 44.60, d 2.032, I = 809, hkl 2 1 0

Structural model:
abc: 5.5778 2.9661 10.1130
angles: 90.00 90.00 90.00
Fractional positions:
Re1 0.1467 0.2500 0.2136
Re2 0.1753 0.2500 0.9351
Re3 0.3247 0.7500 0.4351
Re4 0.3533 0.7500 0.7136
Re5 0.6467 0.2500 0.2864
Re6 0.6753 0.2500 0.5649
Re7 0.8247 0.7500 0.0649
Re8 0.8533 0.7500 0.7864
P1 0.0977 0.2500 0.6018
P2 0.4023 0.7500 0.1018
P3 0.5977 0.2500 0.8982
P4 0.9023 0.7500 0.3982



Diffraction record for Ba2LiUO6. The powder diffraction line list is simulated, not measured: it uses the GGA-PBE geometry in the Materials Project and Cu Kα.
Lines closer than 0.1° are merged.

Principal peaks in the range 2θ from 15° to 90°, sorted by position:
2θ 18.04, d 4.918, I = 302, hkl 1 1 0; 2θ 18.14, d 4.891, I = 323, hkl 0 1 1; 2θ 29.78, d 3.000, I = 1000, hkl 1 2 1; 2θ 35.09, d 2.558, I = 233, hkl 1 3 0; 2θ 42.53, d 2.126, I = 248, hkl 2 0 2; 2θ 52.93, d 1.730, I = 249, hkl 1 2 3

Structural model:
abc: 6.0381 8.4788 5.9875
angles: 90.00 90.00 90.00
Fractional positions:
Ba1 0.0035 0.2471 0.0000
Ba2 0.4965 0.7471 0.5000
Ba3 0.5035 0.2529 0.5000
Ba4 0.9965 0.7529 0.0000
Li1 0.0000 0.0000 0.5000
Li2 0.5000 0.5000 0.0000
U1 0.0000 0.5000 0.5000
U2 0.5000 0.0000 0.0000
O1 0.0143 0.7426 0.5000
O2 0.2427 0.4964 0.2557
O3 0.2427 0.4964 0.7443
O4 0.2573 0.9964 0.2443
O5 0.2573 0.9964 0.7557
O6 0.4857 0.2426 0.0000
O7 0.5143 0.7574 0.0000
O8 0.7427 0.0036 0.2443
O9 0.7427 0.0036 0.7557
O10 0.7573 0.5036 0.2557
O11 0.7573 0.5036 0.7443
O12 0.9857 0.2574 0.5000



Repeat the first record exactly.
Diffraction record for Y5Mg8Cu5. The powder diffraction line list is simulated, not measured: it uses the GGA-PBE geometry in the Materials Project and Cu Kα.
Lines closer than 0.1° are merged.

Principal peaks in the range 2θ from 15° to 90°, sorted by position:
2θ 32.55, d 2.751, I = 508, hkl 6 1 1; 2θ 33.09, d 2.707, I = 567, hkl 1 1 2; 2θ 34.85, d 2.575, I = 509, hkl 7 1 1; 2θ 35.24, d 2.546, I = 430, hkl 8 1 0; 2θ 35.69, d 2.516, I = 1000, hkl 4 1 2; 2θ 45.27, d 2.003, I = 444, hkl 0 2 0

Structural model:
abc: 26.3905 4.0059 7.4177
angles: 90.00 90.00 90.00
Fractional positions:
Y1 0.1056 0.0000 0.0759
Y2 0.1500 0.0000 0.5730
Y3 0.2500 0.0000 0.1986
Y4 0.3500 0.0000 0.5730
Y5 0.3944 0.0000 0.0759
Y6 0.6056 0.0000 0.9241
Y7 0.6500 0.0000 0.4270
Y8 0.7500 0.0000 0.8014
Y9 0.8500 0.0000 0.4270
Y10 0.8944 0.0000 0.9241
Mg1 0.0000 0.5000 0.0000
Mg2 0.0236 0.0000 0.7002
Mg3 0.0613 0.5000 0.4028
Mg4 0.1900 0.5000 0.9056
Mg5 0.2500 0.5000 0.5391
Mg6 0.3100 0.5000 0.9056
Mg7 0.4387 0.5000 0.4028
Mg8 0.4764 0.0000 0.7002
Mg9 0.5000 0.5000 0.0000
Mg10 0.5236 0.0000 0.2998
Mg11 0.5613 0.5000 0.5972
Mg12 0.6900 0.5000 0.0944
Mg13 0.7500 0.5000 0.4609
Mg14 0.8100 0.5000 0.0944
Mg15 0.9387 0.5000 0.5972
Mg16 0.9764 0.0000 0.2998
Cu1 0.0888 0.5000 0.7837
Cu2 0.1671 0.5000 0.2832
Cu3 0.2500 0.0000 0.7824
Cu4 0.3329 0.5000 0.2832
Cu5 0.4112 0.5000 0.7837
Cu6 0.5888 0.5000 0.2163
Cu7 0.6671 0.5000 0.7168
Cu8 0.7500 0.0000 0.2176
Cu9 0.8329 0.5000 0.7168
Cu10 0.9112 0.5000 0.2163